[1]
# Sr3Cr2N4
Calculated powder X-ray diffraction pattern, Cu Kα (weighted mean of Kα1 and Kα2). Input: a PBE-relaxed structure.

The 12 most intense peaks (10 to 90 degrees two-theta), low angle first:
2theta	d_spacing	I/Imax	h k l
28.5	3.128	51	0 3 1
31.8	2.816	100	1 0 3
33.1	2.710	33	1 1 3
33.2	2.700	14	2 1 1
36.3	2.473	45	1 3 2
36.8	2.442	30	2 2 1
44.6	2.032	11	1 2 4
49.0	1.860	12	2 4 1
49.3	1.847	21	1 3 4
58.3	1.583	11	3 2 3
65.4	1.426	9	1 6 3
67.6	1.385	9	3 4 3

Crystal structure
```
data_Sr3Cr2N4
_chemical_formula_sum 'Sr12 Cr8 N16'
_cell_length_a 5.8653
_cell_length_b 9.9232
_cell_length_c 9.6337
_cell_angle_alpha 90.00
_cell_angle_beta 90.00
_cell_angle_gamma 90.00
_space_group_name_H-M_alt 'P 1'
_space_group_IT_number 1
_space_group_name_Hall 'P 1'
loop_
_atom_site_label
_atom_site_type_symbol
_atom_site_fract_x
_atom_site_fract_y
_atom_site_fract_z
_atom_site_occupancy
Sr1 Sr 0.1197 0.1571 0.0822 1
Sr2 Sr 0.1197 0.3429 0.4178 1
Sr3 Sr 0.2500 0.0000 0.4027 1
Sr4 Sr 0.2500 0.5000 0.0973 1
Sr5 Sr 0.3803 0.6571 0.4178 1
Sr6 Sr 0.3803 0.8429 0.0822 1
Sr7 Sr 0.6197 0.1571 0.9178 1
Sr8 Sr 0.6197 0.3429 0.5822 1
Sr9 Sr 0.7500 0.0000 0.5973 1
Sr10 Sr 0.7500 0.5000 0.9027 1
Sr11 Sr 0.8803 0.6571 0.5822 1
Sr12 Sr 0.8803 0.8429 0.9178 1
Cr1 Cr 0.1571 0.2500 0.7500 1
Cr2 Cr 0.2500 0.0000 0.7360 1
Cr3 Cr 0.2500 0.5000 0.7640 1
Cr4 Cr 0.3429 0.7500 0.7500 1
Cr5 Cr 0.6571 0.2500 0.2500 1
Cr6 Cr 0.7500 0.0000 0.2640 1
Cr7 Cr 0.7500 0.5000 0.2360 1
Cr8 Cr 0.8429 0.7500 0.2500 1
N1 N 0.0217 0.0887 0.8333 1
N2 N 0.0217 0.4113 0.6667 1
N3 N 0.1438 0.6469 0.8676 1
N4 N 0.1438 0.8531 0.6324 1
N5 N 0.3562 0.1469 0.6324 1
N6 N 0.3562 0.3531 0.8676 1
N7 N 0.4783 0.5887 0.6667 1
N8 N 0.4783 0.9113 0.8333 1
N9 N 0.5217 0.0887 0.1667 1
N10 N 0.5217 0.4113 0.3333 1
N11 N 0.6438 0.6469 0.1325 1
N12 N 0.6438 0.8531 0.3676 1
N13 N 0.8562 0.1469 0.3676 1
N14 N 0.8562 0.3531 0.1325 1
N15 N 0.9783 0.5887 0.3333 1
N16 N 0.9783 0.9113 0.1667 1
```


[2]
# RbBaPO4
Calculated powder X-ray diffraction pattern, Cu Kα (weighted mean of Kα1 and Kα2). Input: a PBE-relaxed structure.

The 12 most intense peaks (10 to 90 degrees two-theta), low angle first:
2theta	d_spacing	I/Imax	h k l
17.6	5.053	21	0 1 1
25.7	3.461	72	1 1 2
28.4	3.142	61	2 0 2
28.6	3.124	100	2 1 1
30.3	2.947	65	0 1 3
30.8	2.903	60	0 2 0
35.0	2.566	33	3 0 1
40.1	2.251	23	1 1 4
42.4	2.132	55	2 2 2
52.1	1.757	31	3 1 4
56.1	1.640	20	1 2 5
61.1	1.517	20	5 0 2

Crystal structure
```
data_RbBaPO4
_chemical_formula_sum 'Rb4 Ba4 P4 O16'
_cell_length_a 7.9499
_cell_length_b 5.8059
_cell_length_c 10.2622
_cell_angle_alpha 90.00
_cell_angle_beta 90.00
_cell_angle_gamma 90.00
_space_group_name_H-M_alt 'P 1'
_space_group_IT_number 1
_space_group_name_Hall 'P 1'
loop_
_atom_site_label
_atom_site_type_symbol
_atom_site_fract_x
_atom_site_fract_y
_atom_site_fract_z
_atom_site_occupancy
Rb1 Rb 0.1563 0.2500 0.0843 1
Rb2 Rb 0.3437 0.7500 0.5843 1
Rb3 Rb 0.6563 0.2500 0.4157 1
Rb4 Rb 0.8437 0.7500 0.9157 1
Ba1 Ba 0.0008 0.7500 0.3083 1
Ba2 Ba 0.4992 0.2500 0.8083 1
Ba3 Ba 0.5008 0.7500 0.1917 1
Ba4 Ba 0.9992 0.2500 0.6917 1
P1 P 0.2297 0.2500 0.4142 1
P2 P 0.2703 0.7500 0.9142 1
P3 P 0.7297 0.2500 0.0858 1
P4 P 0.7703 0.7500 0.5858 1
O1 O 0.0333 0.2500 0.4185 1
O2 O 0.1997 0.7500 0.0569 1
O3 O 0.2090 0.5289 0.8415 1
O4 O 0.2090 0.9711 0.8415 1
O5 O 0.2910 0.0289 0.3415 1
O6 O 0.2910 0.4711 0.3415 1
O7 O 0.3003 0.2500 0.5569 1
O8 O 0.4667 0.7500 0.9185 1
O9 O 0.5333 0.2500 0.0815 1
O10 O 0.6997 0.7500 0.4431 1
O11 O 0.7090 0.5289 0.6585 1
O12 O 0.7090 0.9711 0.6585 1
O13 O 0.7910 0.0289 0.1585 1
O14 O 0.7910 0.4711 0.1585 1
O15 O 0.8003 0.2500 0.9431 1
O16 O 0.9667 0.7500 0.5815 1
```


[3]
# Li3Cu2F8
Calculated powder X-ray diffraction pattern, Cu Kα (weighted mean of Kα1 and Kα2). Input: a PBE-relaxed structure.

The 12 most intense peaks (10 to 90 degrees two-theta), low angle first:
2theta	d_spacing	I/Imax	h k l
15.0	5.894	100	1 0 0
19.5	4.557	82	0 1 1
22.9	3.880	35	1 0 -2
24.8	3.586	46	1 0 2
25.2	3.540	74	1 1 1
32.9	2.724	30	0 1 3
38.7	2.329	23	2 1 -2
39.5	2.283	22	1 2 1
49.8	1.830	26	3 1 -1
51.6	1.770	27	2 2 2
54.4	1.688	24	1 1 5
62.6	1.485	24	1 3 -3

Crystal structure
```
data_Li3Cu2F8
_chemical_formula_sum 'Li6 Cu4 F16'
_cell_length_a 5.9131
_cell_length_b 5.1753
_cell_length_c 9.6410
_cell_angle_alpha 90.00
_cell_angle_beta 94.62
_cell_angle_gamma 90.00
_space_group_name_H-M_alt 'P 1'
_space_group_IT_number 1
_space_group_name_Hall 'P 1'
loop_
_atom_site_label
_atom_site_type_symbol
_atom_site_fract_x
_atom_site_fract_y
_atom_site_fract_z
_atom_site_occupancy
Li1 Li 0.0000 0.0000 0.0000 1
Li2 Li 0.0000 0.5000 0.5000 1
Li3 Li 0.3449 0.0034 0.7527 1
Li4 Li 0.3449 0.4966 0.2527 1
Li5 Li 0.6551 0.5034 0.7473 1
Li6 Li 0.6551 0.9966 0.2473 1
Cu1 Cu 0.1378 0.5062 0.8690 1
Cu2 Cu 0.1378 0.9938 0.3690 1
Cu3 Cu 0.8622 0.0062 0.6310 1
Cu4 Cu 0.8622 0.4938 0.1310 1
F1 F 0.0409 0.6911 0.6826 1
F2 F 0.0409 0.8089 0.1826 1
F3 F 0.1464 0.1487 0.5685 1
F4 F 0.1464 0.3513 0.0685 1
F5 F 0.2782 0.6756 0.4197 1
F6 F 0.2782 0.8244 0.9197 1
F7 F 0.4025 0.1541 0.3132 1
F8 F 0.4025 0.3459 0.8132 1
F9 F 0.5975 0.6541 0.1868 1
F10 F 0.5975 0.8459 0.6868 1
F11 F 0.7218 0.1756 0.0803 1
F12 F 0.7218 0.3244 0.5803 1
F13 F 0.8536 0.6487 0.9315 1
F14 F 0.8536 0.8513 0.4315 1
F15 F 0.9591 0.1911 0.8174 1
F16 F 0.9591 0.3089 0.3174 1
```


What is the formula in the first record?
Sr3Cr2N4